(1)
# CsTeO
Calculated powder diffractogram, Cu Kα (λ = 1.5418 Å). Input: a DFT-relaxed cell (GGA-PBE, Alexandria).

The 10 most intense peaks (15° ≤ 2θ ≤ 90°), sorted by position:
| 2θ (°) | I (rel.) |
| --- | --- |
| 25.6 | 100 |
| 26.5 | 39 |
| 31.4 | 97 |
| 33.5 | 34 |
| 38.6 | 27 |
| 39.5 | 18 |
| 43.2 | 21 |
| 52.0 | 23 |
| 57.4 | 22 |
| 59.2 | 23 |

Structural model:
Lattice parameters (Å, degrees): 5.3569 3.6182 9.1360 90.00 90.00 90.00
Space group Pmma (No. 51)
One atom of each set of equivalent atoms:
Cs 0.2500 0.0000 0.1415 x2
Te 0.2500 0.5000 0.6395 x2
O 0.2500 0.5000 0.8536 x2

=====

(2)
# InCuHPb2
Calculated powder diffractogram, Cu Kα (λ = 1.5418 Å). Input: a DFT-relaxed cell (GGA-PBE, Alexandria).

The 10 most intense peaks (15° ≤ 2θ ≤ 90°), sorted by position:
| 2θ (°) | I (rel.) |
| --- | --- |
| 22.3 | 31 |
| 26.0 | 30 |
| 30.5 | 21 |
| 31.8 | 100 |
| 34.5 | 94 |
| 41.5 | 36 |
| 45.5 | 37 |
| 58.4 | 43 |
| 63.6 | 27 |
| 72.8 | 18 |

Structural model:
Lattice parameters (Å, degrees): 5.6365 5.6365 3.4240 90.00 90.00 90.00
Space group P4/mmm (No. 123)
One atom of each set of equivalent atoms:
In 0.0000 0.0000 0.0000 x1
Cu 0.5000 0.5000 0.5000 x1
H 0.5000 0.5000 0.0000 x1
Pb 0.0000 0.5000 0.5000 x2

=====

(3)
# PuHfAl2
Calculated powder diffractogram, Cu Kα (λ = 1.5418 Å). Input: a DFT-relaxed cell (GGA-PBE, Alexandria).

The 10 most intense peaks (15° ≤ 2θ ≤ 90°), sorted by position:
| 2θ (°) | I (rel.) |
| --- | --- |
| 20.8 | 100 |
| 27.4 | 53 |
| 30.3 | 41 |
| 34.7 | 96 |
| 37.0 | 82 |
| 41.3 | 60 |
| 42.4 | 28 |
| 46.7 | 52 |
| 60.7 | 39 |
| 73.9 | 33 |

Structural model:
Lattice parameters (Å, degrees): 2.9535 4.2669 6.4992 90.00 90.00 90.00
Space group Pmmm (No. 47)
One atom of each set of equivalent atoms:
Pu 0.0000 0.0000 0.0000 x1
Hf 0.0000 0.0000 0.5000 x1
Al 0.5000 0.5000 0.2772 x2

=====

Please write out number 3 again, unchanged.
# PuHfAl2
Calculated powder diffractogram, Cu Kα (λ = 1.5418 Å). Input: a DFT-relaxed cell (GGA-PBE, Alexandria).

The 10 most intense peaks (15° ≤ 2θ ≤ 90°), sorted by position:
| 2θ (°) | I (rel.) |
| --- | --- |
| 20.8 | 100 |
| 27.4 | 53 |
| 30.3 | 41 |
| 34.7 | 96 |
| 37.0 | 82 |
| 41.3 | 60 |
| 42.4 | 28 |
| 46.7 | 52 |
| 60.7 | 39 |
| 73.9 | 33 |

Structural model:
Lattice parameters (Å, degrees): 2.9535 4.2669 6.4992 90.00 90.00 90.00
Space group Pmmm (No. 47)
One atom of each set of equivalent atoms:
Pu 0.0000 0.0000 0.0000 x1
Hf 0.0000 0.0000 0.5000 x1
Al 0.5000 0.5000 0.2772 x2

=====

Copy entry 3 word for word.
# PuHfAl2
Calculated powder diffractogram, Cu Kα (λ = 1.5418 Å). Input: a DFT-relaxed cell (GGA-PBE, Alexandria).

The 10 most intense peaks (15° ≤ 2θ ≤ 90°), sorted by position:
| 2θ (°) | I (rel.) |
| --- | --- |
| 20.8 | 100 |
| 27.4 | 53 |
| 30.3 | 41 |
| 34.7 | 96 |
| 37.0 | 82 |
| 41.3 | 60 |
| 42.4 | 28 |
| 46.7 | 52 |
| 60.7 | 39 |
| 73.9 | 33 |

Structural model:
Lattice parameters (Å, degrees): 2.9535 4.2669 6.4992 90.00 90.00 90.00
Space group Pmmm (No. 47)
One atom of each set of equivalent atoms:
Pu 0.0000 0.0000 0.0000 x1
Hf 0.0000 0.0000 0.5000 x1
Al 0.5000 0.5000 0.2772 x2